CaLa4Ir: theoretical X-ray powder pattern (Cu Ka), based on a cell relaxed with PBE.
Kinematic intensities with the Lorentz-polarization factor, no thermal factor.

Peak list (10 most intense, 10° ≤ 2θ ≤ 90°, sorted by position)
2θ/deg, d/Å, Rel. int., index
18.8, 4.730, 38.1, 1 1 0
28.7, 3.107, 100.0, 1 2 -1
29.4, 3.043, 51.8, 1 0 -3
30.9, 2.898, 65.8, 1 2 1
31.0, 2.888, 90.7, 0 2 2
31.8, 2.813, 55.4, 1 1 -3
33.5, 2.678, 33.1, 2 1 -2
34.9, 2.574, 53.5, 2 1 1
38.0, 2.369, 73.3, 0 2 3
49.3, 1.847, 33.7, 0 4 0

Structure:
a b c (Å): 6.3141 7.3877 9.4984
angles (deg): 90.00 102.75 90.00
Element x y z (fractional)
1 Ca 0.2211 0.2500 0.4415
2 Ca 0.7789 0.7500 0.5585
3 La 0.1260 0.2500 0.0569
4 La 0.2063 0.7500 0.3148
5 La 0.3521 0.5091 0.8001
6 La 0.3521 0.9909 0.8001
7 La 0.6479 0.0091 0.1999
8 La 0.6479 0.4909 0.1999
9 La 0.7937 0.2500 0.6852
10 La 0.8740 0.7500 0.9431
11 Ir 0.3367 0.7500 0.0427
12 Ir 0.6633 0.2500 0.9573